[1]
# Tm4Sn2Hg
Calculated X-ray powder pattern, Cu Kα. Input: a crystal structure in Alexandria, relaxed with GGA-PBE.

Main lines, sorted by position (5 to 70 degrees two-theta):
hkl 1 1 -2, 28.2 deg, rel. 31.7; hkl 3 1 -1, 30.6 deg, rel. 100.0; hkl 2 0 -3, 30.9 deg, rel. 40.7; hkl 3 1 0, 34.2 deg, rel. 81.2; hkl 1 1 2, 36.1 deg, rel. 81.4; hkl 0 0 3, 36.8 deg, rel. 30.7; hkl 3 1 -3, 37.5 deg, rel. 87.7; hkl 0 2 0, 38.3 deg, rel. 67.9; hkl 3 1 2, 51.0 deg, rel. 29.6; hkl 6 2 -1, 66.6 deg, rel. 35.7

Atomic structure:
Unit cell a=11.2461 b=4.7044 c=8.6899 alpha=90.00 beta=122.48 gamma=90.00
Space group C2/m (No. 12)
Unique sites:
Tm: 0.0854 0.0000 0.3853 (multiplicity 4)
Tm: 0.1816 0.5000 0.0707 (multiplicity 4)
Sn: 0.1495 0.5000 0.6652 (multiplicity 4)
Hg: 0.0000 0.0000 0.0000 (multiplicity 2)



[2]
# Tm3SnHg2
Calculated X-ray powder pattern, Cu Kα. Input: a crystal structure in Alexandria, relaxed with GGA-PBE.

Main lines, sorted by position (5 to 70 degrees two-theta):
hkl 0 2 0, 11.3 deg, rel. 2.8; hkl 1 5 0, 33.3 deg, rel. 0.8; hkl 1 3 1, 34.3 deg, rel. 100.0; hkl 2 0 0, 34.5 deg, rel. 20.0; hkl 1 5 1, 41.5 deg, rel. 1.0; hkl 0 0 2, 49.2 deg, rel. 7.4; hkl 2 6 0, 49.4 deg, rel. 14.3; hkl 0 6 2, 61.4 deg, rel. 22.1; hkl 2 0 2, 61.5 deg, rel. 7.7; hkl 3 3 1, 61.6 deg, rel. 15.1

Atomic structure:
Unit cell a=5.2054 b=15.6966 c=3.7003 alpha=90.00 beta=90.00 gamma=90.00
Space group Pmmn (No. 59, origin choice 2)
Unique sites:
Tm: 0.2500 0.0828 0.9998 (multiplicity 4)
Tm: 0.2500 0.7500 0.0012 (multiplicity 2)
Sn: 0.2500 0.2500 0.4990 (multiplicity 2)
Hg: 0.2500 0.5769 0.5002 (multiplicity 4)



[3]
# Tm3Sn2Hg
Calculated X-ray powder pattern, Cu Kα. Input: a crystal structure in Alexandria, relaxed with GGA-PBE.

Main lines, sorted by position (5 to 70 degrees two-theta):
hkl 0 2 1, 32.2 deg, rel. 95.2; hkl 4 0 -2, 32.8 deg, rel. 100.0; hkl 2 0 2, 33.2 deg, rel. 92.5; hkl 6 0 0, 34.4 deg, rel. 87.9; hkl 2 2 1, 35.2 deg, rel. 81.0; hkl 4 2 -1, 37.8 deg, rel. 66.6; hkl 6 2 -1, 45.3 deg, rel. 41.0; hkl 6 2 1, 50.1 deg, rel. 26.8; hkl 2 2 -3, 52.3 deg, rel. 27.7; hkl 8 2 -3, 65.5 deg, rel. 27.6

Atomic structure:
Unit cell a=16.0280 b=6.2296 c=6.3536 alpha=90.00 beta=102.32 gamma=90.00
Space group C2/c (No. 15)
Unique sites:
Tm: 0.0000 0.1325 0.2500 (multiplicity 4)
Tm: 0.1699 0.3916 0.5946 (multiplicity 8)
Sn: 0.1613 0.1046 0.0574 (multiplicity 8)
Hg: 0.0000 0.3805 0.7500 (multiplicity 4)